# KTbSnWO6
Simulated powder XRD pattern, Cu Ka. Input: the PBE+U geometry in Alexandria.
Neutral-atom scattering factors, no anomalous dispersion.

The 10 most intense peaks (2θ = 10–90°), sorted by position:
- 21.1 deg, I = 25
- 30.1 deg, I = 100
- 43.0 deg, I = 20
- 43.1 deg, I = 10
- 48.4 deg, I = 7
- 53.4 deg, I = 41
- 62.6 deg, I = 12
- 70.9 deg, I = 12
- 86.7 deg, I = 15
- 86.8 deg, I = 7

Cell and atoms:
```
data_KTbSnWO6
_chemical_formula_sum 'K2 Tb2 Sn2 W2 O12'
_cell_length_a 5.949
_cell_length_b 5.949
_cell_length_c 8.387
_cell_angle_alpha 90.00
_cell_angle_beta 90.00
_cell_angle_gamma 90.00
_symmetry_space_group_name_H-M 'P 42/m m c'
_symmetry_Int_Tables_number 131
_symmetry_space_group_name_Hall '-P 4c 2'
loop_
_atom_site_label
_atom_site_type_symbol
_atom_site_fract_x
_atom_site_fract_y
_atom_site_fract_z
_atom_site_occupancy
K1 K 0.000 0.000 0.250 1
Tb1 Tb 0.000 0.500 0.000 1
Sn1 Sn 0.500 0.500 0.250 1
W1 W 0.000 0.500 0.500 1
O1 O 0.000 0.500 0.268 1
O2 O 0.239 0.274 0.500 1
```


# K2VSnO5
Simulated powder XRD pattern, Cu Ka. Input: the PBE+U geometry in Alexandria.
Neutral-atom scattering factors, no anomalous dispersion.

The 10 most intense peaks (2θ = 10–90°), sorted by position:
- 13.5 deg, I = 100
- 19.3 deg, I = 41
- 24.6 deg, I = 28
- 28.6 deg, I = 26
- 28.7 deg, I = 34
- 30.6 deg, I = 36
- 31.0 deg, I = 51
- 34.7 deg, I = 81
- 34.9 deg, I = 28
- 44.7 deg, I = 32

Cell and atoms:
```
data_K2VSnO5
_chemical_formula_sum 'K8 V4 Sn4 O20'
_cell_length_a 3.307
_cell_length_b 12.859
_cell_length_c 13.097
_cell_angle_alpha 90.00
_cell_angle_beta 90.00
_cell_angle_gamma 90.00
_symmetry_space_group_name_H-M 'C m c 21'
_symmetry_Int_Tables_number 36
loop_
_symmetry_equiv_pos_as_xyz
'x,y,z'
'-x,-y,z+1/2'
'-x,y,z'
'x,-y,z+1/2'
'x+1/2,y+1/2,z'
'-x+1/2,-y+1/2,z+1/2'
'-x+1/2,y+1/2,z'
'x+1/2,-y+1/2,z+1/2'
loop_
_atom_site_label
_atom_site_type_symbol
_atom_site_fract_x
_atom_site_fract_y
_atom_site_fract_z
_atom_site_occupancy
K1 K 0.000 0.075 0.000 1
K2 K 0.000 0.169 0.623 1
V1 V 0.000 0.479 0.772 1
Sn1 Sn 0.000 0.223 0.355 1
O1 O 0.000 0.052 0.345 1
O2 O 0.000 0.277 0.960 1
O3 O 0.000 0.318 0.757 1
O4 O 0.000 0.378 0.326 1
O5 O 0.000 0.495 0.144 1
```


- What is the formula in the second record?
  K2VSnO5